Computed X-ray powder pattern
Compound: Sn3H2O4
Radiation: a wavelength of 1.5418 Å
Structure: a cell relaxed with PBE
Peak positions follow from Bragg's law for the DFT cell and can differ from measured ones.

The 8 most intense peaks (10° ≤ 2θ ≤ 90°), by angle:
two_theta  I/Imax  (hkl)
13.61  93.4  1 1 -1
15.15  47.2  2 0 0
23.57  50.4  1 3 0
23.76  61.1  0 2 2
25.00  64.6  2 0 2
27.42  100.0  2 2 -2
29.18  98.9  2 2 2
30.53  59.6  1 3 2

Structural model:
a = 11.741 Å, b = 11.966 Å, c = 9.635 Å
α = 90.00°, β = 94.90°, γ = 90.00°
Space group Cc (No. 9)
Asymmetric unit:
Sn1 0.000 0.047 0.000
Sn2 0.112 0.320 0.020
Sn3 0.208 0.335 0.483
Sn4 0.358 0.051 0.438
Sn5 0.400 0.288 0.219
Sn6 0.408 0.255 0.753
H1 0.023 0.389 0.763
H2 0.152 0.166 0.236
H3 0.227 0.138 0.624
H4 0.336 0.500 0.242
O1 0.018 0.435 0.846
O2 0.027 0.197 0.890
O3 0.083 0.172 0.168
O4 0.227 0.215 0.657
O5 0.285 0.206 0.353
O6 0.347 0.438 0.312
O7 0.359 0.391 0.606
O8 0.453 0.135 0.601